1.
# BaSrEuNbO6
Calculated powder diffraction line list, Cu Ka. Input: DFT lattice parameters and positions (GGA-PBE).
Neutral-atom scattering factors, no anomalous dispersion.

Peak list (10 most intense, 2θ = 10–90°, in order of rising 2θ)
- 2θ 29.62, rel. 100
- 2θ 42.37, rel. 19
- 2θ 42.43, rel. 9
- 2θ 52.57, rel. 43
- 2θ 61.50, rel. 17
- 2θ 69.63, rel. 6
- 2θ 69.78, rel. 12
- 2θ 77.54, rel. 5
- 2θ 85.09, rel. 15
- 2θ 85.18, rel. 8

a = 8.522 Å, b = 8.524 Å, c = 8.541 Å
α = 90.00°, β = 90.00°, γ = 90.00°
Element x y z (fractional)
Ba 0.000 0.000 0.000
Ba 0.000 0.000 0.500
Ba 0.500 0.000 0.000
Ba 0.500 0.500 0.500
Sr 0.000 0.500 0.000
Sr 0.000 0.500 0.500
Sr 0.500 0.000 0.500
Sr 0.500 0.500 0.000
Eu 0.251 0.253 0.750
Eu 0.251 0.747 0.250
Eu 0.749 0.253 0.250
Eu 0.749 0.747 0.750
Nb 0.250 0.254 0.251
Nb 0.250 0.746 0.749
Nb 0.750 0.254 0.749
Nb 0.750 0.746 0.251
O 0.016 0.224 0.276
O 0.016 0.776 0.724
O 0.215 0.285 0.017
O 0.215 0.483 0.293
O 0.215 0.517 0.707
O 0.215 0.715 0.983
O 0.274 0.018 0.222
O 0.274 0.982 0.778
O 0.291 0.218 0.482
O 0.291 0.782 0.518
O 0.482 0.291 0.213
O 0.482 0.709 0.787
O 0.518 0.291 0.787
O 0.518 0.709 0.213
O 0.709 0.218 0.518
O 0.709 0.782 0.482
O 0.726 0.018 0.778
O 0.726 0.982 0.222
O 0.785 0.285 0.983
O 0.785 0.483 0.707
O 0.785 0.517 0.293
O 0.785 0.715 0.017
O 0.984 0.224 0.724
O 0.984 0.776 0.276

=====

2.
# BaSrEuNbO6
Calculated powder diffraction line list, Cu Ka. Input: DFT lattice parameters and positions (GGA-PBE).
Neutral-atom scattering factors, no anomalous dispersion.

Peak list (10 most intense, 2θ = 10–90°, in order of rising 2θ)
- 2θ 17.89, rel. 4
- 2θ 20.68, rel. 3
- 2θ 29.41, rel. 100
- 2θ 34.64, rel. 4
- 2θ 42.08, rel. 31
- 2θ 52.17, rel. 40
- 2θ 61.03, rel. 19
- 2θ 69.18, rel. 18
- 2θ 76.91, rel. 6
- 2θ 84.40, rel. 21

a = 6.073 Å, b = 6.073 Å, c = 6.073 Å
α = 60.00°, β = 60.00°, γ = 60.00°
Element x y z (fractional)
Ba 0.000 0.000 0.000
Sr 0.500 0.500 0.500
Eu 0.750 0.750 0.750
Nb 0.250 0.250 0.250
O 0.015 0.015 0.485
O 0.015 0.485 0.015
O 0.015 0.485 0.485
O 0.485 0.015 0.015
O 0.485 0.015 0.485
O 0.485 0.485 0.015

=====

3.
# BaSrEuNbO6
Calculated powder diffraction line list, Cu Ka. Input: DFT lattice parameters and positions (GGA-PBE).
Neutral-atom scattering factors, no anomalous dispersion.

Peak list (10 most intense, 2θ = 10–90°, in order of rising 2θ)
- 2θ 29.48, rel. 97
- 2θ 29.59, rel. 100
- 2θ 29.77, rel. 96
- 2θ 42.27, rel. 26
- 2θ 42.43, rel. 54
- 2θ 52.33, rel. 19
- 2θ 52.56, rel. 31
- 2θ 52.64, rel. 21
- 2θ 52.80, rel. 21
- 2θ 69.56, rel. 19

a = 6.003 Å, b = 6.070 Å, c = 8.523 Å
α = 90.35°, β = 90.34°, γ = 90.22°
Element x y z (fractional)
Ba 0.006 0.030 0.250
Ba 0.994 0.970 0.750
Sr 0.491 0.539 0.251
Sr 0.509 0.461 0.749
Eu 0.000 0.500 0.500
Eu 0.500 0.000 0.000
Nb 0.000 0.500 0.000
Nb 0.500 0.000 0.500
O 0.083 0.508 0.768
O 0.199 0.765 0.039
O 0.234 0.800 0.467
O 0.268 0.306 0.044
O 0.310 0.272 0.457
O 0.436 0.032 0.732
O 0.564 0.968 0.268
O 0.690 0.728 0.543
O 0.732 0.694 0.956
O 0.766 0.200 0.533
O 0.801 0.235 0.961
O 0.917 0.492 0.232

=====

4.
# BaNdEuSbO6
Calculated powder diffraction line list, Cu Ka. Input: DFT lattice parameters and positions (GGA-PBE).
Neutral-atom scattering factors, no anomalous dispersion.

Peak list (9 most intense, 2θ = 10–90°, in order of rising 2θ)
- 2θ 29.29, rel. 100
- 2θ 34.49, rel. 1
- 2θ 36.08, rel. 2
- 2θ 41.90, rel. 29
- 2θ 51.95, rel. 41
- 2θ 60.76, rel. 18
- 2θ 68.86, rel. 18
- 2θ 76.54, rel. 6
- 2θ 83.98, rel. 22

a = 6.098 Å, b = 6.098 Å, c = 6.098 Å
α = 60.00°, β = 60.00°, γ = 60.00°
Element x y z (fractional)
Ba 0.000 0.000 0.000
Nd 0.250 0.250 0.250
Eu 0.500 0.500 0.500
Sb 0.750 0.750 0.750
O 0.517 0.517 0.983
O 0.517 0.983 0.517
O 0.517 0.983 0.983
O 0.983 0.517 0.517
O 0.983 0.517 0.983
O 0.983 0.983 0.517

=====

5.
# BaNdEuSbO6
Calculated powder diffraction line list, Cu Ka. Input: DFT lattice parameters and positions (GGA-PBE).
Neutral-atom scattering factors, no anomalous dispersion.

Peak list (10 most intense, 2θ = 10–90°, in order of rising 2θ)
- 2θ 29.40, rel. 100
- 2θ 29.47, rel. 34
- 2θ 29.64, rel. 65
- 2θ 42.16, rel. 35
- 2θ 42.28, rel. 17
- 2θ 52.04, rel. 19
- 2θ 52.23, rel. 14
- 2θ 52.38, rel. 27
- 2θ 52.53, rel. 14
- 2θ 69.30, rel. 13

a = 6.031 Å, b = 6.082 Å, c = 8.569 Å
α = 90.39°, β = 90.34°, γ = 90.20°
Element x y z (fractional)
Ba 0.006 0.027 0.250
Ba 0.994 0.973 0.750
Nd 0.000 0.500 0.500
Nd 0.500 0.000 0.000
Eu 0.492 0.538 0.252
Eu 0.508 0.462 0.748
Sb 0.000 0.500 0.000
Sb 0.500 0.000 0.500
O 0.089 0.506 0.770
O 0.198 0.763 0.039
O 0.237 0.799 0.466
O 0.267 0.306 0.046
O 0.311 0.272 0.457
O 0.436 0.033 0.731
O 0.564 0.967 0.269
O 0.689 0.728 0.543
O 0.733 0.694 0.954
O 0.763 0.201 0.534
O 0.802 0.237 0.961
O 0.911 0.494 0.230

=====

6.
# BaNdEuSbO6
Calculated powder diffraction line list, Cu Ka. Input: DFT lattice parameters and positions (GGA-PBE).
Neutral-atom scattering factors, no anomalous dispersion.

Peak list (10 most intense, 2θ = 10–90°, in order of rising 2θ)
- 2θ 29.41, rel. 100
- 2θ 42.05, rel. 18
- 2θ 42.13, rel. 9
- 2θ 52.16, rel. 43
- 2θ 61.02, rel. 16
- 2θ 69.06, rel. 6
- 2θ 69.22, rel. 12
- 2θ 76.89, rel. 5
- 2θ 84.33, rel. 11
- 2θ 84.44, rel. 11

a = 8.580 Å, b = 8.586 Å, c = 8.604 Å
α = 90.00°, β = 90.00°, γ = 90.00°
Element x y z (fractional)
Ba 0.250 0.250 0.250
Ba 0.250 0.750 0.750
Ba 0.750 0.250 0.250
Ba 0.750 0.750 0.750
Nd 0.000 0.000 0.000
Nd 0.000 0.500 0.500
Nd 0.500 0.000 0.500
Nd 0.500 0.500 0.000
Eu 0.250 0.250 0.750
Eu 0.250 0.750 0.250
Eu 0.750 0.250 0.750
Eu 0.750 0.750 0.250
Sb 0.000 0.000 0.500
Sb 0.000 0.500 0.000
Sb 0.500 0.000 0.000
Sb 0.500 0.500 0.500
O 0.027 0.231 0.473
O 0.027 0.269 0.027
O 0.041 0.030 0.731
O 0.041 0.470 0.769
O 0.231 0.535 0.038
O 0.231 0.965 0.462
O 0.269 0.535 0.462
O 0.269 0.965 0.038
O 0.459 0.030 0.769
O 0.459 0.470 0.731
O 0.473 0.231 0.027
O 0.473 0.269 0.473
O 0.527 0.731 0.527
O 0.527 0.769 0.973
O 0.541 0.530 0.269
O 0.541 0.970 0.231
O 0.731 0.035 0.962
O 0.731 0.465 0.538
O 0.769 0.035 0.538
O 0.769 0.465 0.962
O 0.959 0.530 0.231
O 0.959 0.970 0.269
O 0.973 0.731 0.973
O 0.973 0.769 0.527

=====

7.
# BaEu2O4
Calculated powder diffraction line list, Cu Ka. Input: DFT lattice parameters and positions (GGA-PBE).
Neutral-atom scattering factors, no anomalous dispersion.

Peak list (10 most intense, 2θ = 10–90°, in order of rising 2θ)
- 2θ 28.64, rel. 47
- 2θ 29.03, rel. 100
- 2θ 29.99, rel. 70
- 2θ 30.11, rel. 33
- 2θ 34.12, rel. 19
- 2θ 42.03, rel. 38
- 2θ 42.41, rel. 20
- 2θ 51.00, rel. 32
- 2θ 51.98, rel. 19
- 2θ 59.77, rel. 27

a = 10.608 Å, b = 3.581 Å, c = 12.466 Å
α = 90.00°, β = 90.00°, γ = 90.00°
Element x y z (fractional)
Ba 0.248 0.250 0.150
Ba 0.252 0.750 0.650
Ba 0.748 0.250 0.350
Ba 0.752 0.750 0.850
Eu 0.075 0.250 0.388
Eu 0.078 0.250 0.891
Eu 0.422 0.750 0.391
Eu 0.425 0.750 0.888
Eu 0.575 0.250 0.112
Eu 0.578 0.250 0.609
Eu 0.922 0.750 0.109
Eu 0.925 0.750 0.612
O 0.015 0.750 0.784
O 0.073 0.250 0.576
O 0.118 0.750 0.019
O 0.213 0.750 0.332
O 0.287 0.250 0.832
O 0.382 0.250 0.519
O 0.427 0.750 0.076
O 0.485 0.250 0.284
O 0.515 0.750 0.716
O 0.573 0.250 0.924
O 0.618 0.750 0.481
O 0.713 0.750 0.168
O 0.787 0.250 0.668
O 0.882 0.250 0.981
O 0.927 0.750 0.424
O 0.985 0.250 0.216

=====

8.
# Ba4Eu4Zn3PtO15
Calculated powder diffraction line list, Cu Ka. Input: DFT lattice parameters and positions (GGA-PBE).
Neutral-atom scattering factors, no anomalous dispersion.

Peak list (10 most intense, 2θ = 10–90°, in order of rising 2θ)
- 2θ 26.45, rel. 6
- 2θ 30.22, rel. 100
- 2θ 31.42, rel. 28
- 2θ 37.18, rel. 26
- 2θ 40.60, rel. 6
- 2θ 44.17, rel. 12
- 2θ 48.65, rel. 18
- 2θ 53.70, rel. 17
- 2θ 54.46, rel. 8
- 2θ 62.87, rel. 18

a = 11.822 Å, b = 11.822 Å, c = 6.853 Å
α = 90.00°, β = 90.00°, γ = 120.00°
Element x y z (fractional)
Ba 0.170 0.340 0.000
Ba 0.170 0.830 0.000
Ba 0.333 0.667 0.671
Ba 0.340 0.170 0.500
Ba 0.660 0.830 0.000
Ba 0.667 0.333 0.171
Ba 0.830 0.170 0.500
Ba 0.830 0.660 0.500
Eu 0.000 0.000 0.180
Eu 0.000 0.000 0.680
Eu 0.040 0.520 0.344
Eu 0.480 0.520 0.344
Eu 0.480 0.960 0.344
Eu 0.520 0.040 0.844
Eu 0.520 0.480 0.844
Eu 0.960 0.480 0.844
Zn 0.172 0.344 0.513
Zn 0.172 0.828 0.513
Zn 0.344 0.172 0.013
Zn 0.656 0.828 0.513
Zn 0.828 0.172 0.013
Zn 0.828 0.656 0.013
Pt 0.333 0.667 0.155
Pt 0.667 0.333 0.655
O 0.058 0.395 0.641
O 0.058 0.662 0.641
O 0.084 0.168 0.411
O 0.084 0.916 0.411
O 0.168 0.084 0.911
O 0.170 0.585 0.994
O 0.252 0.503 0.326
O 0.252 0.748 0.326
O 0.338 0.395 0.641
O 0.338 0.942 0.641
O 0.395 0.058 0.141
O 0.395 0.338 0.141
O 0.415 0.585 0.994
O 0.415 0.830 0.994
O 0.497 0.748 0.326
O 0.503 0.252 0.826
O 0.585 0.170 0.494
O 0.585 0.415 0.494
O 0.605 0.662 0.641
O 0.605 0.942 0.641
O 0.662 0.058 0.141
O 0.662 0.605 0.141
O 0.748 0.252 0.826
O 0.748 0.497 0.826
O 0.830 0.415 0.494
O 0.832 0.916 0.411
O 0.916 0.084 0.911
O 0.916 0.832 0.911
O 0.942 0.338 0.141
O 0.942 0.605 0.141

=====

9.
# Ba2EuRuO6
Calculated powder diffraction line list, Cu Ka. Input: DFT lattice parameters and positions (GGA-PBE).
Neutral-atom scattering factors, no anomalous dispersion.

Peak list (10 most intense, 2θ = 10–90°, in order of rising 2θ)
- 2θ 29.70, rel. 100
- 2θ 34.97, rel. 2
- 2θ 36.58, rel. 2
- 2θ 42.49, rel. 29
- 2θ 46.52, rel. 1
- 2θ 52.70, rel. 40
- 2θ 61.66, rel. 18
- 2θ 69.92, rel. 18
- 2θ 77.76, rel. 6
- 2θ 85.37, rel. 22

a = 6.017 Å, b = 6.017 Å, c = 6.017 Å
α = 60.00°, β = 60.00°, γ = 60.00°
Element x y z (fractional)
Ba 0.250 0.250 0.250
Ba 0.750 0.750 0.750
Eu 0.000 0.000 0.000
Ru 0.500 0.500 0.500
O 0.269 0.269 0.731
O 0.269 0.731 0.269
O 0.269 0.731 0.731
O 0.731 0.269 0.269
O 0.731 0.269 0.731
O 0.731 0.731 0.269

=====

10.
# Ba2EuSbO6
Calculated powder diffraction line list, Cu Ka. Input: DFT lattice parameters and positions (GGA-PBE).
Neutral-atom scattering factors, no anomalous dispersion.

Peak list (10 most intense, 2θ = 10–90°, in order of rising 2θ)
- 2θ 20.60, rel. 1
- 2θ 29.30, rel. 100
- 2θ 34.50, rel. 1
- 2θ 36.09, rel. 1
- 2θ 41.92, rel. 29
- 2θ 51.96, rel. 40
- 2θ 60.77, rel. 18
- 2θ 68.88, rel. 18
- 2θ 76.56, rel. 6
- 2θ 84.01, rel. 22

a = 6.096 Å, b = 6.096 Å, c = 6.096 Å
α = 60.00°, β = 60.00°, γ = 60.00°
Element x y z (fractional)
Ba 0.250 0.250 0.250
Ba 0.750 0.750 0.750
Eu 0.000 0.000 0.000
Sb 0.500 0.500 0.500
O 0.266 0.266 0.734
O 0.266 0.734 0.266
O 0.266 0.734 0.734
O 0.734 0.266 0.266
O 0.734 0.266 0.734
O 0.734 0.734 0.266